No. 1
Diffraction record for Be2PPbO6. The powder X-ray diffraction pattern is simulated, not measured: it uses DFT lattice parameters and positions (GGA-PBE) and copper Kα.

Peak list (10 most intense, 2θ = 5–70°, in order of rising 2θ)
2θ = 13.35°, intensity 100; 2θ = 21.04°, intensity 45; 2θ = 24.80°, intensity 49; 2θ = 27.31°, intensity 65; 2θ = 30.34°, intensity 20; 2θ = 35.35°, intensity 27; 2θ = 37.46°, intensity 17; 2θ = 39.86°, intensity 18; 2θ = 42.61°, intensity 21; 2θ = 55.37°, intensity 15

Structural model:
a = 7.076 Å, b = 7.076 Å, c = 5.298 Å
α = 105.44°, β = 105.44°, γ = 98.39°
Sites, in units of the cell vectors:
1 Be 0.155 0.315 0.358
2 Be 0.315 0.155 0.858
3 Be 0.685 0.845 0.142
4 Be 0.845 0.685 0.642
5 P 0.299 0.701 0.750
6 P 0.701 0.299 0.250
7 Pb 0.120 0.880 0.250
8 Pb 0.880 0.120 0.750
9 O 0.088 0.662 0.795
10 O 0.155 0.189 0.579
11 O 0.189 0.155 0.079
12 O 0.289 0.541 0.485
13 O 0.338 0.912 0.705
14 O 0.459 0.711 0.015
15 O 0.541 0.289 0.985
16 O 0.662 0.088 0.295
17 O 0.711 0.459 0.515
18 O 0.811 0.845 0.921
19 O 0.845 0.811 0.421
20 O 0.912 0.338 0.205

=====

No. 2
Diffraction record for BeZnTePO. The powder X-ray diffraction pattern is simulated, not measured: it uses DFT lattice parameters and positions (GGA-PBE) and copper Kα.

Peak list (10 most intense, 2θ = 5–70°, in order of rising 2θ)
2θ = 14.39°, intensity 100; 2θ = 19.20°, intensity 50; 2θ = 21.49°, intensity 16; 2θ = 28.91°, intensity 27; 2θ = 30.99°, intensity 19; 2θ = 32.19°, intensity 18; 2θ = 33.93°, intensity 32; 2θ = 34.61°, intensity 21; 2θ = 35.05°, intensity 17; 2θ = 47.59°, intensity 16

Structural model:
a = 2.880 Å, b = 6.190 Å, c = 6.332 Å
α = 96.25°, β = 101.02°, γ = 90.12°
Sites, in units of the cell vectors:
1 Be 0.000 0.000 0.000
2 Zn 0.535 0.420 0.060
3 Te 0.770 0.667 0.452
4 P 0.952 0.653 0.880
5 O 0.509 0.102 0.020

=====

No. 3
Diffraction record for PaBe2O4. The powder X-ray diffraction pattern is simulated, not measured: it uses DFT lattice parameters and positions (GGA-PBE) and copper Kα.

Peak list (10 most intense, 2θ = 5–70°, in order of rising 2θ)
2θ = 18.86°, intensity 48; 2θ = 24.32°, intensity 100; 2θ = 26.80°, intensity 41; 2θ = 36.50°, intensity 42; 2θ = 42.99°, intensity 20; 2θ = 45.67°, intensity 14; 2θ = 45.86°, intensity 25; 2θ = 49.83°, intensity 12; 2θ = 53.91°, intensity 21; 2θ = 61.06°, intensity 17

Structural model:
a = 6.653 Å, b = 6.653 Å, c = 4.383 Å
α = 90.00°, β = 90.00°, γ = 90.00°
Sites, in units of the cell vectors:
1 Pa 0.000 0.000 0.000
2 Pa 0.500 0.500 0.500
3 Be 0.000 0.500 0.250
4 Be 0.000 0.500 0.750
5 Be 0.500 0.000 0.250
6 Be 0.500 0.000 0.750
7 O 0.004 0.684 0.000
8 O 0.184 0.496 0.500
9 O 0.316 0.004 0.000
10 O 0.496 0.816 0.500
11 O 0.504 0.184 0.500
12 O 0.684 0.996 0.000
13 O 0.816 0.504 0.500
14 O 0.996 0.316 0.000

=====

No. 4
Diffraction record for RbPaBeO4. The powder X-ray diffraction pattern is simulated, not measured: it uses DFT lattice parameters and positions (GGA-PBE) and copper Kα.

Peak list (10 most intense, 2θ = 5–70°, in order of rising 2θ)
2θ = 12.05°, intensity 82; 2θ = 23.90°, intensity 100; 2θ = 24.21°, intensity 47; 2θ = 29.31°, intensity 37; 2θ = 29.96°, intensity 39; 2θ = 32.81°, intensity 28; 2θ = 38.21°, intensity 25; 2θ = 41.21°, intensity 20; 2θ = 48.93°, intensity 22; 2θ = 56.82°, intensity 19

Structural model:
a = 5.367 Å, b = 5.459 Å, c = 7.742 Å
α = 90.00°, β = 108.47°, γ = 90.00°
Sites, in units of the cell vectors:
1 Rb 0.218 0.250 0.436
2 Rb 0.782 0.750 0.564
3 Pa 0.259 0.250 0.953
4 Pa 0.741 0.750 0.047
5 Be 0.279 0.750 0.160
6 Be 0.721 0.250 0.840
7 O 0.066 0.750 0.946
8 O 0.080 0.750 0.282
9 O 0.477 0.517 0.170
10 O 0.477 0.983 0.170
11 O 0.523 0.017 0.830
12 O 0.523 0.483 0.830
13 O 0.920 0.250 0.718
14 O 0.934 0.250 0.054

=====

No. 5
Diffraction record for PaBe2RhO8. The powder X-ray diffraction pattern is simulated, not measured: it uses DFT lattice parameters and positions (GGA-PBE) and copper Kα.

Peak list (10 most intense, 2θ = 5–70°, in order of rising 2θ)
2θ = 14.49°, intensity 11; 2θ = 19.78°, intensity 100; 2θ = 24.60°, intensity 11; 2θ = 34.61°, intensity 27; 2θ = 35.53°, intensity 40; 2θ = 40.18°, intensity 11; 2θ = 45.91°, intensity 29; 2θ = 50.45°, intensity 21; 2θ = 54.05°, intensity 13; 2θ = 62.62°, intensity 17

Structural model:
a = 5.183 Å, b = 5.183 Å, c = 6.113 Å
α = 90.00°, β = 90.00°, γ = 120.00°
Sites, in units of the cell vectors:
1 Pa 0.000 0.000 0.000
2 Be 0.333 0.667 0.220
3 Be 0.667 0.333 0.780
4 Rh 0.000 0.000 0.500
5 O 0.161 0.322 0.284
6 O 0.161 0.839 0.284
7 O 0.322 0.161 0.716
8 O 0.333 0.667 0.957
9 O 0.667 0.333 0.043
10 O 0.678 0.839 0.284
11 O 0.839 0.161 0.716
12 O 0.839 0.678 0.716